[1]
For Ba2MgMn2O6, a PBE+U-relaxed structure gives the computed powder X-ray diffraction pattern in this record (Cu Kα X-rays).

Main lines, in order of rising 2θ (2θ = 10–90°):
23.61 deg, intensity 100.0
23.85 deg, intensity 78.2
31.57 deg, intensity 58.2
34.32 deg, intensity 50.5
35.93 deg, intensity 52.7
48.85 deg, intensity 52.5

Structure:
```
11
Lattice="5.669 0.000 0.000 0.000 5.511 0.000 -2.692 0.000 5.936" Properties=species:S:1:pos:R:3 pbc="T T T"
Ba 0.000 0.000 0.000
Ba 0.207 2.756 5.024
Mg -0.025 0.000 3.386
Mn 2.811 1.471 2.226
Mn 2.811 4.041 2.226
O 1.546 2.756 1.547
O 0.017 0.000 5.261
O 1.522 0.000 2.352
O 2.824 2.756 4.118
O 4.062 2.756 1.498
O 4.096 0.000 2.353
```

=====

[2]
For LiFe4B4O12, a PBE+U-relaxed structure gives the computed powder X-ray diffraction pattern in this record (Cu Kα X-rays).

Main lines, in order of rising 2θ (2θ = 10–90°):
19.40 deg, intensity 39.0
19.64 deg, intensity 73.7
21.32 deg, intensity 100.0
26.18 deg, intensity 57.3
34.29 deg, intensity 25.2
34.96 deg, intensity 68.7

Structure:
```
42
Lattice="5.252 0.000 0.000 -0.148 9.133 0.000 -2.385 -4.549 10.265" Properties=species:S:1:pos:R:3 pbc="T T T"
Li 0.000 0.000 0.000
Li 0.235 0.030 5.166
Fe 0.026 3.066 0.391
Fe -0.628 4.451 8.054
Fe 0.069 6.029 5.484
Fe 1.910 2.945 2.849
Fe 2.590 7.553 0.411
Fe 2.027 -0.037 8.095
Fe 2.820 1.572 5.457
Fe 4.416 7.489 2.904
B -0.753 4.482 2.994
B 0.003 6.094 0.274
B -0.630 -1.589 7.993
B 0.222 2.962 5.515
B 1.978 -0.010 2.995
B 2.690 1.371 0.371
B 1.947 2.968 8.103
B 2.842 -1.510 5.532
O -1.939 -1.468 8.420
O -1.053 -1.532 5.208
O -0.212 5.642 3.557
O 0.101 3.524 2.467
O -0.545 1.831 5.501
O -0.270 4.146 6.068
O 0.677 -0.182 3.255
O 1.353 6.176 0.329
O -0.196 -2.849 7.518
O -0.415 -4.324 10.130
O 0.237 -0.547 7.987
O 1.888 2.364 0.916
O 0.643 3.050 8.583
O 1.509 2.958 4.999
O 1.873 6.556 5.450
O 2.762 -0.949 2.317
O 2.637 1.161 3.465
O 2.296 -0.263 5.946
O 3.156 4.310 2.941
O 4.023 1.411 0.284
O 2.353 1.808 7.455
O 2.213 0.425 10.055
O 4.505 7.205 0.721
O 2.805 3.997 8.316
```

=====

[3]
For KLaW2O8, a PBE+U-relaxed structure gives the computed powder X-ray diffraction pattern in this record (Cu Kα X-rays).

Main lines, in order of rising 2θ (2θ = 10–90°):
14.21 deg, intensity 83.6
17.01 deg, intensity 50.5
26.47 deg, intensity 100.0
26.92 deg, intensity 55.6
28.62 deg, intensity 89.5
28.77 deg, intensity 64.6

Structure:
```
24
Lattice="5.249 -5.528 0.000 5.249 5.528 0.000 -4.511 0.000 6.205" Properties=species:S:1:pos:R:3 pbc="T T T"
K 1.874 0.000 0.175
K 4.113 0.000 6.030
La 2.993 3.308 3.103
La 2.993 -3.308 3.103
W 0.588 0.000 3.461
W 5.249 1.769 0.000
W 5.249 -1.769 0.000
W 5.398 0.000 2.744
O -0.976 0.000 2.429
O -0.476 1.380 4.719
O 4.115 2.879 0.887
O 1.510 1.389 2.712
O 1.871 2.879 5.318
O -0.476 -1.380 4.719
O 1.510 -1.389 2.712
O 4.380 0.000 0.965
O 1.607 0.000 5.241
O 4.477 1.389 3.493
O 6.463 1.380 1.486
O 4.115 -2.879 0.887
O 4.477 -1.389 3.493
O 1.871 -2.879 5.318
O 6.463 -1.380 1.486
O 6.962 0.000 3.776
```

=====

[4]
For KNa2Ni2O4, a PBE+U-relaxed structure gives the computed powder X-ray diffraction pattern in this record (Cu Kα X-rays).

Main lines, in order of rising 2θ (2θ = 10–90°):
16.71 deg, intensity 57.6
21.11 deg, intensity 100.0
21.47 deg, intensity 98.1
31.70 deg, intensity 53.5
32.46 deg, intensity 48.3
45.11 deg, intensity 55.8

Structure:
```
36
Lattice="5.821 0.000 0.000 0.000 11.167 0.000 -3.736 0.000 8.276" Properties=species:S:1:pos:R:3 pbc="T T T"
K -0.717 1.250 3.751
K -2.585 4.334 7.889
K 4.670 6.833 0.387
K 2.802 9.918 4.525
Na -0.770 7.848 3.100
Na -2.639 8.903 7.238
Na -2.692 0.887 7.375
Na -0.824 4.696 3.237
Na 2.909 6.471 5.038
Na 4.777 10.280 0.901
Na 4.723 2.264 1.038
Na 2.855 3.320 5.176
Ni 0.044 6.503 5.762
Ni 1.912 10.248 1.624
Ni 1.977 7.447 1.990
Ni 0.109 9.304 6.128
Ni 1.976 1.864 2.148
Ni 0.108 3.720 6.286
Ni 0.173 0.919 6.652
Ni 2.041 4.665 2.514
O -1.148 8.050 5.466
O 0.720 8.701 1.328
O 0.717 0.625 1.478
O -1.152 4.958 5.615
O 0.744 6.118 2.077
O -1.124 10.633 6.214
O -1.133 2.396 6.365
O 0.735 3.188 2.227
O 1.350 7.980 6.049
O 3.218 8.771 1.911
O 3.209 0.535 2.061
O 1.341 5.049 6.199
O 3.236 6.209 2.660
O 1.368 10.542 6.798
O 1.365 2.466 6.948
O 3.233 3.117 2.810
```

=====

[5]
For NaFe2O4, a PBE+U-relaxed structure gives the computed powder X-ray diffraction pattern in this record (Cu Kα X-rays).

Main lines, in order of rising 2θ (2θ = 10–90°):
15.31 deg, intensity 100.0
34.71 deg, intensity 13.4
38.14 deg, intensity 25.3
38.28 deg, intensity 11.4
47.15 deg, intensity 26.5
47.27 deg, intensity 14.2

Structure:
```
28
Lattice="5.976 0.000 0.000 0.000 5.147 0.000 -5.952 0.000 11.574" Properties=species:S:1:pos:R:3 pbc="T T T"
Na -1.488 0.154 2.893
Na -4.464 4.992 8.680
Na -1.476 1.827 8.680
Na 1.500 3.320 2.893
Fe 0.000 2.573 0.000
Fe -2.976 2.573 5.787
Fe 1.505 0.005 0.096
Fe -1.471 5.142 5.883
Fe 2.988 2.573 0.000
Fe 0.012 2.573 5.787
Fe 1.496 0.005 5.690
Fe -1.480 5.142 11.477
O -3.006 0.895 6.852
O -0.030 4.251 1.066
O -1.502 1.668 4.773
O -4.478 3.479 10.560
O 1.439 1.760 1.046
O -1.537 3.387 6.832
O -2.995 0.848 10.503
O -0.019 4.299 4.716
O 0.044 0.848 6.858
O 3.020 4.299 1.071
O 1.561 1.760 4.741
O -1.414 3.387 10.528
O 4.503 1.668 1.013
O 1.527 3.479 6.800
O 0.055 0.895 10.508
O 3.030 4.251 4.721
```